Diffraction record for LiFe2OF3. The X-ray diffraction stick pattern is simulated, not measured: it uses a cell relaxed with PBE+U and Cu Kα (weighted mean of Kα1 and Kα2).

Structure:
```
data_LiFe2OF3
_chemical_formula_sum 'Li6 Fe12 O6 F18'
_cell_length_a 6.1890
_cell_length_b 6.1890
_cell_length_c 15.3770
_cell_angle_alpha 90.00
_cell_angle_beta 90.00
_cell_angle_gamma 120.00
_symmetry_space_group_name_H-M 'R -3 m'
_symmetry_Int_Tables_number 166
_symmetry_space_group_name_Hall '-R 3 2"'
loop_
_atom_site_label
_atom_site_fract_x
_atom_site_fract_y
_atom_site_fract_z
_atom_site_occupancy
Li1 0.0000 0.0000 0.1455 1
Fe1 0.0000 0.0000 0.5000 1
Fe2 0.0000 0.5000 0.0000 1
O1 0.0000 0.0000 0.2759 1
F1 0.0048 0.5024 0.2413 1
```

Main lines, in order of rising 2θ (10 to 90 degrees two-theta):
17.30°, rel. 25, (0 0 3); 17.52°, rel. 100, (1 0 1); 33.60°, rel. 30, (0 1 5); 33.84°, rel. 28, (1 1 3); 33.96°, rel. 20, (0 2 1); 41.06°, rel. 95, (0 2 4); 45.14°, rel. 14, (2 1 1); 54.22°, rel. 14, (1 2 5); 59.15°, rel. 26, (2 0 8); 59.77°, rel. 31, (2 2 0)